Entry 1:
Theoretical powder X-ray diffraction pattern
Compound: AlCu8Au4
Radiation: Cu Kα (λ = 1.5418 Å)
Structure: a structure optimized by DFT (PBE)
Neutral-atom scattering factors, no anomalous dispersion.

Cell and atoms:
Lattice parameters (Å, degrees): 3.5806 3.8028 13.8923 90.00 90.00 90.00
Space group Pmm2 (No. 25)
Inequivalent atoms, fractional coordinates:
Al  0.0000  0.0000  0.0000 [1 per cell]
Cu  0.0000  0.0000  0.1684 [1 per cell]
Cu  0.0000  0.0000  0.4358 [1 per cell]
Cu  0.0000  0.5000  0.5801 [1 per cell]
Cu  0.0000  0.5000  0.8781 [1 per cell]
Cu  0.5000  0.0000  0.3035 [1 per cell]
Cu  0.5000  0.0000  0.8747 [1 per cell]
Cu  0.5000  0.5000  0.4385 [1 per cell]
Cu  0.5000  0.5000  0.7302 [1 per cell]
Au  0.0000  0.0000  0.7361 [1 per cell]
Au  0.0000  0.5000  0.2936 [1 per cell]
Au  0.5000  0.0000  0.5763 [1 per cell]
Au  0.5000  0.5000  0.0677 [1 per cell]

Largest 12 diffraction maxima, sorted by position, 2θ from 15° to 90°:
- (0 1 1), d 3.668, intensity 218
- (1 0 2), d 3.183, intensity 265
- (1 1 1), d 2.563, intensity 159
- (1 1 3), d 2.272, intensity 1000
- (0 1 5), d 2.243, intensity 142
- (1 1 4), d 2.085, intensity 292
- (0 0 7), d 1.985, intensity 128
- (0 2 0), d 1.901, intensity 224
- (2 0 0), d 1.790, intensity 183
- (2 2 0), d 1.303, intensity 128
- (1 3 3), d 1.157, intensity 121
- (1 1 11), d 1.136, intensity 106



Entry 2:
Theoretical powder X-ray diffraction pattern
Compound: TaHRh3
Radiation: Cu Kα (λ = 1.5418 Å)
Structure: a structure optimized by DFT (PBE)
Neutral-atom scattering factors, no anomalous dispersion.

Cell and atoms:
Lattice parameters (Å, degrees): 4.0169 5.5418 5.5398 90.00 90.00 90.00
Space group Pmm2 (No. 25)
Inequivalent atoms, fractional coordinates:
Ta  0.0000  0.0000  0.0000 [1 per cell]
Ta  0.0000  0.5000  0.4889 [1 per cell]
H  0.5000  0.0000  0.4963 [1 per cell]
H  0.5000  0.5000  0.5463 [1 per cell]
Rh  0.0000  0.0000  0.4996 [1 per cell]
Rh  0.0000  0.5000  0.0010 [1 per cell]
Rh  0.5000  0.2475  0.7558 [2 per cell]
Rh  0.5000  0.2513  0.2463 [2 per cell]

Largest 12 diffraction maxima, sorted by position, 2θ from 15° to 90°:
- (1 0 0), d 4.017, intensity 21
- (0 1 1), d 3.918, intensity 43
- (1 1 1), d 2.805, intensity 38
- (0 0 2), d 2.770, intensity 19
- (1 2 0), d 2.281, intensity 1000
- (2 0 0), d 2.008, intensity 173
- (0 2 2), d 1.959, intensity 318
- (2 2 2), d 1.402, intensity 212
- (0 4 0), d 1.385, intensity 101
- (3 2 0), d 1.206, intensity 128
- (1 4 2), d 1.184, intensity 241
- (2 4 0), d 1.140, intensity 109